Calculated powder X-ray diffraction pattern of Cs2AcSnSe4 for Cu Ka, from a PBE-relaxed structure.

The 8 most intense peaks (2θ from 10° to 90°), by intensity:
2θ/deg  d [Å]  I (rel.)  (hkl)
22.80  3.900  100  1 1 2
38.37  2.346  45  1 3 2
40.86  2.208  35  2 0 4
30.44  2.936  34  2 2 0
21.40  4.153  16  2 0 0
13.63  6.497  14  1 0 1
61.28  1.513  12  4 2 4
59.45  1.555  12  5 1 2

Cell and atoms:
```
data_Cs2AcSnSe4
_symmetry_space_group_name_H-M 'I -4'
_symmetry_Int_Tables_number 82
_symmetry_space_group_name_Hall 'I -4'
_cell_length_a 8.3050
_cell_length_b 8.3050
_cell_length_c 10.4316
_cell_angle_alpha 90.00
_cell_angle_beta 90.00
_cell_angle_gamma 90.00
loop_
_atom_site_label
_atom_site_type_symbol
_atom_site_fract_x
_atom_site_fract_y
_atom_site_fract_z
Cs1 Cs 0.0000 0.0000 0.0000
Cs2 Cs 0.0000 0.5000 0.2500
Ac1 Ac 0.0000 0.5000 0.7500
Sn1 Sn 0.0000 0.0000 0.5000
Se1 Se 0.1747 0.2350 0.6172
```

***

Calculated powder X-ray diffraction pattern of Cs2AcTl2Se4 for Cu Ka, from a PBE-relaxed structure.

The 8 most intense peaks (2θ from 10° to 90°), by intensity:
2θ/deg  d [Å]  I (rel.)  (hkl)
28.75  3.105  100  3 1 -2
10.67  8.292  83  0 0 1
25.06  3.554  70  3 1 -1
27.71  3.220  43  4 0 1
30.62  2.920  39  3 1 1
41.13  2.195  35  0 2 0
35.62  2.520  24  3 1 -3
21.43  4.146  23  0 0 2

Cell and atoms:
```
data_Cs2AcTl2Se4
_symmetry_space_group_name_H-M 'C 1 2/m 1'
_symmetry_Int_Tables_number 12
_symmetry_space_group_name_Hall '-C 2y'
_cell_length_a 18.7695
_cell_length_b 4.3893
_cell_length_c 9.2490
_cell_angle_alpha 90.00
_cell_angle_beta 116.30
_cell_angle_gamma 90.00
loop_
_atom_site_label
_atom_site_type_symbol
_atom_site_fract_x
_atom_site_fract_y
_atom_site_fract_z
Cs1 Cs 0.1252 0.0000 0.0589
Ac1 Ac 0.0000 0.0000 0.5000
Tl1 Tl 0.1915 0.5000 0.5350
Se1 Se 0.0303 0.5000 0.2895
Se2 Se 0.1808 0.0000 0.7348
```